Starting from a GGA-PBE-relaxed structure, the powder diffractogram of DyNi3H6 was calculated for Cu Kα (weighted mean of Kα1 and Kα2).
No peak broadening, texture or thermal motion is included.

Peak list (8 most intense, 2θ = 10–90°, low angle first)
d 3.784, 23.51°, rel. 42.5, hkl 1 0 1
d 3.358, 26.55°, rel. 20.2, hkl 0 1 2
d 2.468, 36.40°, rel. 79.4, hkl 1 0 4
d 2.291, 39.34°, rel. 100.0, hkl 1 1 0
d 2.128, 42.47°, rel. 47.0, hkl 0 1 5
d 1.679, 54.67°, rel. 24.5, hkl 0 2 4
d 1.354, 69.40°, rel. 22.9, hkl 2 1 4
d 1.195, 80.33°, rel. 22.7, hkl 2 -1 9

Structural model:
```
data_DyNi3H6
_cell_length_a 4.5811
_cell_length_b 4.5811
_cell_length_c 12.6099
_cell_angle_alpha 90.00
_cell_angle_beta 90.00
_cell_angle_gamma 120.00
_space_group_name_H-M_alt 'R 3'
_space_group_IT_number 146
_space_group_name_Hall 'R 3'
loop_
_atom_site_label
_atom_site_type_symbol
_atom_site_fract_x
_atom_site_fract_y
_atom_site_fract_z
Dy1 Dy 0.0000 0.0000 0.0000
Ni1 Ni 0.0000 0.0000 0.2250
Ni2 Ni 0.0000 0.0000 0.5581
Ni3 Ni 0.0000 0.0000 0.7705
H1 H 0.0005 0.3246 0.1547
H2 H 0.1566 0.8222 0.3121
```

Starting from a GGA-PBE-relaxed structure, the powder diffractogram of NaGdGaBi was calculated for Cu Kα (weighted mean of Kα1 and Kα2).
No peak broadening, texture or thermal motion is included.

Peak list (8 most intense, 2θ = 10–90°, low angle first)
d 4.353, 20.40°, rel. 37.0, hkl 1 1 1
d 2.666, 33.62°, rel. 100.0, hkl 2 2 0
d 2.273, 39.65°, rel. 21.2, hkl 3 1 1
d 1.885, 48.28°, rel. 18.2, hkl 4 0 0
d 1.730, 52.94°, rel. 9.5, hkl 3 3 1
d 1.539, 60.12°, rel. 37.8, hkl 4 2 2
d 1.333, 70.68°, rel. 11.7, hkl 4 4 0
d 1.192, 80.58°, rel. 16.4, hkl 6 2 0

Structural model:
```
data_NaGdGaBi
_cell_length_a 7.540
_cell_length_b 7.540
_cell_length_c 7.540
_cell_angle_alpha 90.00
_cell_angle_beta 90.00
_cell_angle_gamma 90.00
_space_group_name_H-M_alt 'F -4 3 m'
_space_group_IT_number 216
_space_group_name_Hall 'F -4 2 3'
loop_
_atom_site_label
_atom_site_type_symbol
_atom_site_fract_x
_atom_site_fract_y
_atom_site_fract_z
Na1 Na 0.000 0.000 0.000
Gd1 Gd 0.000 0.000 0.500
Ga1 Ga 0.250 0.250 0.750
Bi1 Bi 0.250 0.250 0.250
```

Starting from a GGA-PBE-relaxed structure, the powder diffractogram of Na2Ti3Se6 was calculated for Cu Kα (weighted mean of Kα1 and Kα2).
No peak broadening, texture or thermal motion is included.

Peak list (8 most intense, 2θ = 10–90°, low angle first)
d 7.250, 12.21°, rel. 41.1, hkl 0 0 1
d 3.033, 29.45°, rel. 24.8, hkl 2 0 0
d 2.731, 32.79°, rel. 100.0, hkl 1 3 1
d 2.215, 40.74°, rel. 16.4, hkl 2 0 -3
d 2.060, 43.94°, rel. 33.7, hkl 2 0 2
d 1.824, 50.02°, rel. 31.4, hkl 0 6 0
d 1.517, 61.11°, rel. 15.5, hkl 4 0 0
d 1.166, 82.78°, rel. 12.8, hkl 4 6 0

Structural model:
```
data_Na2Ti3Se6
_cell_length_a 6.317
_cell_length_b 10.941
_cell_length_c 7.550
_cell_angle_alpha 90.00
_cell_angle_beta 106.21
_cell_angle_gamma 90.00
_space_group_name_H-M_alt 'C 1 2/m 1'
_space_group_IT_number 12
loop_
_space_group_symop_operation_xyz
'x,y,z'
'-x,-y,-z'
'-x,y,-z'
'x,-y,z'
'x+1/2,y+1/2,z'
'-x+1/2,-y+1/2,-z'
'-x+1/2,y+1/2,-z'
'x+1/2,-y+1/2,z'
loop_
_atom_site_label
_atom_site_type_symbol
_atom_site_fract_x
_atom_site_fract_y
_atom_site_fract_z
Na1 Na 0.000 0.167 0.000
Ti1 Ti 0.000 0.000 0.500
Ti2 Ti 0.000 0.333 0.500
Se1 Se 0.235 0.500 0.710
Se2 Se 0.238 0.166 0.711
```

Starting from a GGA-PBE-relaxed structure, the powder diffractogram of Tb5Tm3 was calculated for Cu Kα (weighted mean of Kα1 and Kα2).
No peak broadening, texture or thermal motion is included.

Peak list (8 most intense, 2θ = 10–90°, low angle first)
d 3.122, 28.59°, rel. 23.9, hkl 0 0 4
d 2.800, 31.96°, rel. 23.9, hkl 0 2 0
d 2.727, 32.84°, rel. 100.0, hkl 1 1 2
d 2.084, 43.41°, rel. 15.5, hkl 0 2 4
d 1.803, 50.64°, rel. 19.8, hkl 2 0 0
d 1.602, 57.53°, rel. 20.3, hkl 1 3 2
d 1.516, 61.15°, rel. 22.5, hkl 2 2 0
d 1.504, 61.68°, rel. 16.4, hkl 0 1 8

Structural model:
```
data_Tb5Tm3
_cell_length_a 3.605
_cell_length_b 5.600
_cell_length_c 12.488
_cell_angle_alpha 90.00
_cell_angle_beta 90.00
_cell_angle_gamma 90.00
_space_group_name_H-M_alt 'P m m 2'
_space_group_IT_number 25
loop_
_space_group_symop_operation_xyz
'x,y,z'
'-x,-y,z'
'-x,y,z'
'x,-y,z'
loop_
_atom_site_label
_atom_site_type_symbol
_atom_site_fract_x
_atom_site_fract_y
_atom_site_fract_z
Tb1 Tb 0.000 0.000 0.000
Tb2 Tb 0.000 0.000 0.495
Tb3 Tb 0.000 0.500 0.831
Tb4 Tb 0.500 0.000 0.748
Tb5 Tb 0.500 0.500 0.578
Tm1 Tm 0.000 0.500 0.328
Tm2 Tm 0.500 0.000 0.246
Tm3 Tm 0.500 0.500 0.083
```

Starting from a GGA-PBE-relaxed structure, the powder diffractogram of Tb2GeB2O8 was calculated for Cu Kα (weighted mean of Kα1 and Kα2).
No peak broadening, texture or thermal motion is included.

Peak list (8 most intense, 2θ = 10–90°, low angle first)
d 4.685, 18.94°, rel. 30.3, hkl 0 0 2
d 3.159, 28.25°, rel. 56.8, hkl 3 1 0
d 3.130, 28.52°, rel. 100.0, hkl 1 1 2
d 2.743, 32.65°, rel. 57.4, hkl 4 0 2
d 2.619, 34.23°, rel. 27.2, hkl 3 1 2
d 2.343, 38.43°, rel. 26.8, hkl 0 0 4
d 1.882, 48.37°, rel. 25.2, hkl 3 1 4
d 1.657, 55.45°, rel. 30.5, hkl 7 1 2

Structural model:
```
data_Tb2GeB2O8
_cell_length_a 13.533
_cell_length_b 4.426
_cell_length_c 9.370
_cell_angle_alpha 90.00
_cell_angle_beta 90.00
_cell_angle_gamma 90.00
_space_group_name_H-M_alt 'P b c n'
_space_group_IT_number 60
loop_
_space_group_symop_operation_xyz
'x,y,z'
'-x,-y,-z'
'-x+1/2,-y+1/2,z+1/2'
'x+1/2,y+1/2,-z+1/2'
'x+1/2,-y+1/2,-z'
'-x+1/2,y+1/2,z'
'-x,y,-z+1/2'
'x,-y,z+1/2'
loop_
_atom_site_label
_atom_site_type_symbol
_atom_site_fract_x
_atom_site_fract_y
_atom_site_fract_z
Tb1 Tb 0.140 0.043 0.026
Ge1 Ge 0.000 0.422 0.750
B1 B 0.200 0.470 0.296
O1 O 0.005 0.199 0.903
O2 O 0.107 0.342 0.231
O3 O 0.192 0.462 0.451
O4 O 0.215 0.214 0.741
```

Starting from a GGA-PBE-relaxed structure, the powder diffractogram of TbY2Ho4 was calculated for Cu Kα (weighted mean of Kα1 and Kα2).
No peak broadening, texture or thermal motion is included.

Peak list (8 most intense, 2θ = 10–90°, low angle first)
d 3.091, 28.88°, rel. 40.4, hkl 2 0 -1
d 2.850, 31.39°, rel. 61.6, hkl 1 2 -1
d 2.830, 31.61°, rel. 67.1, hkl 1 0 3
d 2.799, 31.97°, rel. 100.0, hkl 1 0 -4
d 2.714, 33.00°, rel. 36.5, hkl 2 1 0
d 2.684, 33.39°, rel. 32.6, hkl 1 2 1
d 2.672, 33.53°, rel. 35.6, hkl 1 2 -2
d 2.437, 36.89°, rel. 30.9, hkl 0 2 3

Structural model:
```
data_TbY2Ho4
_cell_length_a 6.183
_cell_length_b 6.493
_cell_length_c 11.447
_cell_angle_alpha 90.00
_cell_angle_beta 104.88
_cell_angle_gamma 90.00
_space_group_name_H-M_alt 'P 1 21/m 1'
_space_group_IT_number 11
loop_
_space_group_symop_operation_xyz
'x,y,z'
'-x,-y,-z'
'-x,y+1/2,-z'
'x,-y+1/2,z'
loop_
_atom_site_label
_atom_site_type_symbol
_atom_site_fract_x
_atom_site_fract_y
_atom_site_fract_z
Tb1 Tb 0.024 0.250 0.351
Y1 Y 0.140 0.250 0.939
Y2 Y 0.389 0.750 0.503
Ho1 Ho 0.162 0.250 0.653
Ho2 Ho 0.297 0.750 0.933
Ho3 Ho 0.357 0.503 0.212
```